Calculated powder diffractogram
Compound: Sc2NiIr
Radiation: Cu Kα
Structure: the GGA-PBE geometry in OQMD
No peak broadening, texture or thermal motion is included.

The 6 most intense peaks (10° ≤ 2θ ≤ 90°), in order of rising 2θ:
2θ (°)  I/Imax  (hkl)
24.08  31  1 0 1
27.83  20  1 3 0
39.82  100  2 0 0
47.02  11  2 3 1
57.49  11  2 6 0
72.23  22  3 3 2

Atomic structure:
a = 4.534 Å, b = 13.603 Å, c = 6.382 Å
α = 90.00°, β = 90.00°, γ = 90.00°
Space group Pnnm (No. 58)
Inequivalent atoms, fractional coordinates:
Sc: 0.000 0.000 0.250 (multiplicity 4)
Sc: 0.001 0.333 0.250 (multiplicity 8)
Ni: 0.000 0.500 0.000 (multiplicity 2)
Ni: 0.001 0.167 0.000 (multiplicity 4)
Ir: 0.000 0.500 0.500 (multiplicity 2)
Ir: 0.001 0.167 0.500 (multiplicity 4)

***

Calculated powder diffractogram
Compound: Tb3NiSn3Ir2
Radiation: Cu Kα
Structure: the GGA-PBE geometry in OQMD
No peak broadening, texture or thermal motion is included.

The 6 most intense peaks (10° ≤ 2θ ≤ 90°), in order of rising 2θ:
2θ (°)  I/Imax  (hkl)
33.22  100  1 1 1
36.06  73  2 0 1
36.58  46  2 1 0
41.69  37  3 0 0
46.86  22  0 0 2
67.27  26  3 2 1

Atomic structure:
a = 7.5051 Å, b = 7.5051 Å, c = 3.8778 Å
α = 90.00°, β = 90.00°, γ = 120.00°
Space group P-62m (No. 189)
Inequivalent atoms, fractional coordinates:
Tb: 0.0000 0.5937 0.0000 (multiplicity 3)
Ni: 0.0000 0.0000 0.0000 (multiplicity 1)
Sn: 0.0000 0.2539 0.5000 (multiplicity 3)
Ir: 0.3333 0.6667 0.5000 (multiplicity 2)

***

Calculated powder diffractogram
Compound: Sr2Tl4NiIr
Radiation: Cu Kα
Structure: the GGA-PBE geometry in OQMD
No peak broadening, texture or thermal motion is included.

The 6 most intense peaks (10° ≤ 2θ ≤ 90°), in order of rising 2θ:
2θ (°)  I/Imax  (hkl)
30.82  100  2 1 1
31.48  63  0 1 3
33.33  49  1 1 3
38.41  70  2 1 3
39.44  71  3 1 1
41.47  46  0 2 0

Atomic structure:
a = 8.291 Å, b = 4.354 Å, c = 11.250 Å
α = 90.00°, β = 90.00°, γ = 90.00°
Space group Amm2 (No. 38)
Inequivalent atoms, fractional coordinates:
Sr: 0.000 0.000 0.000 (multiplicity 2)
Sr: 0.500 0.000 0.124 (multiplicity 2)
Tl: 0.194 0.000 0.709 (multiplicity 4)
Tl: 0.296 0.000 0.410 (multiplicity 4)
Ni: 0.000 0.000 0.281 (multiplicity 2)
Ir: 0.500 0.000 0.840 (multiplicity 2)

***

Calculated powder diffractogram
Compound: TbNiIr
Radiation: Cu Kα
Structure: the GGA-PBE geometry in OQMD
No peak broadening, texture or thermal motion is included.

The 6 most intense peaks (10° ≤ 2θ ≤ 90°), in order of rising 2θ:
2θ (°)  I/Imax  (hkl)
34.44  40  1 1 2
39.80  100  1 2 1
40.96  44  1 0 3
41.18  30  2 1 1
41.57  30  0 2 2
72.61  31  2 2 4

Atomic structure:
a = 5.079 Å, b = 5.392 Å, c = 7.337 Å
α = 90.00°, β = 90.00°, γ = 90.00°
Space group Imma (No. 74)
Inequivalent atoms, fractional coordinates:
Tb: 0.000 0.250 0.123 (multiplicity 4)
Ni: 0.250 0.250 0.750 (multiplicity 4)
Ir: 0.000 0.000 0.500 (multiplicity 4)

***

Calculated powder diffractogram
Compound: TbZnNi3Ir
Radiation: Cu Kα
Structure: the GGA-PBE geometry in OQMD
No peak broadening, texture or thermal motion is included.

The 6 most intense peaks (10° ≤ 2θ ≤ 90°), in order of rising 2θ:
2θ (°)  I/Imax  (hkl)
30.02  21  1 0 1
35.59  43  1 1 0
42.16  100  1 1 1
44.56  23  0 0 2
58.29  21  1 1 2
68.43  23  3 0 1

Atomic structure:
a = 5.0448 Å, b = 5.0448 Å, c = 4.0665 Å
α = 90.00°, β = 90.00°, γ = 120.00°
Space group P-6m2 (No. 187)
Inequivalent atoms, fractional coordinates:
Tb: 0.0000 0.0000 0.0000 (multiplicity 1)
Zn: 0.6667 0.3333 0.0000 (multiplicity 1)
Ni: 0.5010 0.0020 0.5000 (multiplicity 3)
Ir: 0.3333 0.6667 0.0000 (multiplicity 1)

***

Calculated powder diffractogram
Compound: NiTe5Ir
Radiation: Cu Kα
Structure: the GGA-PBE geometry in OQMD
No peak broadening, texture or thermal motion is included.

The 6 most intense peaks (10° ≤ 2θ ≤ 90°), in order of rising 2θ:
2θ (°)  I/Imax  (hkl)
14.35  55  0 2 0
30.57  41  1 1 3
32.72  71  0 2 5
34.50  100  1 3 2
45.63  32  1 5 2
59.99  31  2 2 5

Atomic structure:
a = 3.732 Å, b = 12.346 Å, c = 15.267 Å
α = 90.00°, β = 90.00°, γ = 90.00°
Space group Cmcm (No. 63)
Inequivalent atoms, fractional coordinates:
Ni: 0.000 0.000 0.000 (multiplicity 4)
Te: 0.000 0.101 0.147 (multiplicity 8)
Te: 0.000 0.155 0.750 (multiplicity 4)
Te: 0.000 0.374 0.050 (multiplicity 8)
Ir: 0.000 0.498 0.250 (multiplicity 4)

***

Calculated powder diffractogram
Compound: IrO2
Radiation: Cu Kα
Structure: the GGA-PBE geometry in OQMD
No peak broadening, texture or thermal motion is included.

The 6 most intense peaks (10° ≤ 2θ ≤ 90°), in order of rising 2θ:
2θ (°)  I/Imax  (hkl)
28.05  100  2 0 0
34.59  97  1 1 1
40.08  30  2 2 0
53.96  69  3 1 1
65.78  18  2 0 2
69.30  19  3 3 1

Atomic structure:
a = 6.356 Å, b = 6.370 Å, c = 3.173 Å
α = 90.00°, β = 90.00°, γ = 90.00°
Space group Cmmm (No. 65)
Inequivalent atoms, fractional coordinates:
Ir: 0.000 0.000 0.000 (multiplicity 2)
Ir: 0.000 0.500 0.500 (multiplicity 2)
O: 0.000 0.191 0.500 (multiplicity 4)
O: 0.191 0.500 0.000 (multiplicity 4)

***

Calculated powder diffractogram
Compound: Ir4O5
Radiation: Cu Kα
Structure: the GGA-PBE geometry in OQMD
No peak broadening, texture or thermal motion is included.

The 6 most intense peaks (10° ≤ 2θ ≤ 90°), in order of rising 2θ:
2θ (°)  I/Imax  (hkl)
10.87  36  0 0 1
34.39  100  1 0 2
37.45  75  1 1 0
52.41  44  1 0 4
54.00  36  2 0 0
65.60  32  2 1 2

Atomic structure:
a = 3.396 Å, b = 3.396 Å, c = 8.141 Å
α = 90.00°, β = 90.00°, γ = 90.00°
Space group P4/mmm (No. 123)
Inequivalent atoms, fractional coordinates:
Ir: 0.000 0.000 0.000 (multiplicity 1)
Ir: 0.000 0.000 0.500 (multiplicity 1)
Ir: 0.500 0.500 0.158 (multiplicity 2)
O: 0.000 0.500 0.307 (multiplicity 4)
O: 0.500 0.500 0.500 (multiplicity 1)